# La2Nd2DyEr2
Computed powder diffractogram, CuKα. Input: the GGA-PBE geometry in Alexandria.

Atomic structure:
Lattice parameters (Å, degrees): 11.440 5.140 8.160 90.00 98.19 90.00
Space group C2/m (No. 12)
One atom of each set of equivalent atoms:
1 La 0.142 0.000 0.425
2 Nd 0.215 0.500 0.140
3 Dy 0.000 0.000 0.000
4 Er 0.070 0.500 0.716

Top 8 peaks for 5° ≤ 2θ ≤ 70°, sorted by position:
| 2θ/deg | I/Imax |
| --- | --- |
| 30.1 | 100 |
| 30.2 | 99 |
| 34.8 | 34 |
| 34.9 | 34 |
| 35.0 | 33 |
| 50.1 | 36 |
| 50.3 | 24 |
| 59.6 | 43 |